Starting from a structure optimized by DFT (PBE), the powder diffractogram of RbLuS2O8 was computed for Cu Ka.
Peak positions follow from Bragg's law for the DFT cell and can differ from measured ones.

Top 10 peaks for 2θ from 10° to 90°, in order of falling intensity:
d [Å]  I/Imax  index
3.841  100.0  0 0 2
3.153  92.6  2 1 -1
4.433  76.4  2 0 0
2.996  71.7  2 1 1
3.351  69.6  2 1 0
2.290  37.3  0 1 3
5.117  36.4  0 1 0
2.427  34.3  0 2 1
2.105  32.9  2 2 1
2.617  31.7  2 1 -2

Structural model:
a b c (Å): 8.9052 5.1168 7.7148
angles (deg): 90.00 95.28 90.00
Element x y z (fractional)
Rb: 0.0000 0.1886 0.2500
Rb: 0.0000 0.8114 0.7500
Lu: 0.5000 0.1046 0.2500
Lu: 0.5000 0.8954 0.7500
S: 0.2890 0.3210 0.8449
S: 0.2890 0.6790 0.3449
S: 0.7110 0.3210 0.6551
S: 0.7110 0.6790 0.1551
O: 0.1463 0.3172 0.9227
O: 0.1463 0.6828 0.4227
O: 0.2858 0.1486 0.6876
O: 0.2858 0.8514 0.1876
O: 0.3297 0.4070 0.2993
O: 0.3297 0.5930 0.7993
O: 0.4191 0.2041 0.9621
O: 0.4191 0.7959 0.4621
O: 0.5809 0.2041 0.5379
O: 0.5809 0.7959 0.0379
O: 0.6703 0.4070 0.2007
O: 0.6703 0.5930 0.7007
O: 0.7142 0.1486 0.8124
O: 0.7142 0.8514 0.3124
O: 0.8537 0.3172 0.5773
O: 0.8537 0.6828 0.0773